Record 1
For GdInCu2, DFT lattice parameters and positions (GGA-PBE) gives the simulated X-ray powder pattern in this record (Cu Ka).
Peak positions follow from Bragg's law for the DFT cell and can differ from measured ones.

Structure:
```
data_GdInCu2
_space_group_name_H-M_alt 'F m -3 m'
_space_group_IT_number 225
_space_group_name_Hall '-F 4 2 3'
_cell_length_a 6.676
_cell_length_b 6.676
_cell_length_c 6.676
_cell_angle_alpha 90.00
_cell_angle_beta 90.00
_cell_angle_gamma 90.00
loop_
_atom_site_label
_atom_site_fract_x
_atom_site_fract_y
_atom_site_fract_z
Gd1 0.000 0.000 0.000
In1 0.000 0.000 0.500
Cu1 0.250 0.250 0.250
```

Peak list (9 most intense, 5 to 70 degrees two-theta, low angle first)
2θ/deg  I_rel  h k l
23.07  2.0  1 1 1
26.71  13.3  2 0 0
38.13  100.0  2 2 0
45.04  1.1  3 1 1
47.16  3.9  2 2 2
55.02  16.7  4 0 0
60.44  0.5  3 3 1
62.18  5.4  4 2 0
68.90  33.1  4 2 2



Record 2
For Cu3Ge, DFT lattice parameters and positions (GGA-PBE) gives the simulated X-ray powder pattern in this record (Cu Ka).
Peak positions follow from Bragg's law for the DFT cell and can differ from measured ones.

Structure:
```
data_Cu3Ge
_space_group_name_H-M_alt 'P m m n'
_space_group_IT_number 59
_cell_length_a 4.228
_cell_length_b 5.313
_cell_length_c 4.552
_cell_angle_alpha 90.00
_cell_angle_beta 90.00
_cell_angle_gamma 90.00
loop_
_space_group_symop_operation_xyz
'x,y,z'
'-x,-y,-z'
'-x+1/2,-y+1/2,z'
'x+1/2,y+1/2,-z'
'x+1/2,-y,-z'
'-x+1/2,y,z'
'-x,y+1/2,-z'
'x,-y+1/2,z'
loop_
_atom_site_label
_atom_site_fract_x
_atom_site_fract_y
_atom_site_fract_z
Cu1 0.250 0.001 0.165
Cu2 0.250 0.250 0.668
Ge1 0.250 0.750 0.673
```

Peak list (7 most intense, 5 to 70 degrees two-theta, low angle first)
2θ/deg  I_rel  h k l
39.27  23.9  0 2 1
39.59  12.8  0 0 2
42.77  38.3  2 0 0
44.95  100.0  1 2 1
45.24  47.4  1 0 2
59.45  13.2  2 2 1
59.69  7.1  2 0 2



Record 3
For LiAlSiO4, DFT lattice parameters and positions (GGA-PBE) gives the simulated X-ray powder pattern in this record (Cu Ka).
Peak positions follow from Bragg's law for the DFT cell and can differ from measured ones.

Structure:
```
data_LiAlSiO4
_space_group_name_H-M_alt 'P 62 2 2'
_space_group_IT_number 180
_space_group_name_Hall 'P 62 2 (0 0 4)'
_cell_length_a 5.3507
_cell_length_b 5.3507
_cell_length_c 11.0946
_cell_angle_alpha 90.00
_cell_angle_beta 90.00
_cell_angle_gamma 120.00
loop_
_atom_site_label
_atom_site_fract_x
_atom_site_fract_y
_atom_site_fract_z
Li1 0.0000 0.0000 0.0000
Al1 0.0000 0.5000 0.6667
Si1 0.0000 0.5000 0.1667
O1 0.1855 0.3998 0.2511
```

Peak list (12 most intense, 5 to 70 degrees two-theta, low angle first)
2θ/deg  I_rel  h k l
19.15  8.1  1 0 0
25.04  100.0  1 0 2
33.50  4.3  1 1 0
38.87  3.9  2 0 0
42.27  3.1  2 0 2
47.20  21.9  1 1 4
51.39  1.4  2 0 4
54.98  10.4  2 1 2
59.88  1.3  3 0 0
62.74  3.7  2 1 4
64.47  11.0  2 0 6
69.68  3.9  3 0 4